Mg6AlNiO8: simulated PXRD pattern (Cu Kα (weighted mean of Kα1 and Kα2)), based on the GGA+U geometry in Alexandria.
Intensities are scaled so that the largest is 1000.

Peak list (12 most intense, 5 to 70 degrees two-theta, by angle)
2θ (°), d [Å], I/Imax, hkl
10.05, 8.804, 289, 0 0 1
20.17, 4.402, 56, 0 0 2
21.29, 4.174, 68, 1 0 0
23.59, 3.772, 51, 1 0 1
29.49, 3.029, 58, 1 0 2
31.98, 2.798, 53, 1 1 1
36.66, 2.451, 330, 1 1 2
37.46, 2.401, 106, 1 0 3
41.01, 2.201, 551, 0 0 4
43.36, 2.087, 1000, 2 0 0
61.20, 1.514, 578, 2 0 4
62.99, 1.476, 281, 2 2 0

Atomic structure:
```
Mg6AlNiO8
1.0
4.174 0.000 0.000
0.000 4.174 0.000
0.000 0.000 8.804
Mg Al Ni O
6 1 1 8
direct
0.000 0.000 0.000
0.000 0.500 0.256
0.000 0.500 0.744
0.500 0.000 0.256
0.500 0.000 0.744
0.500 0.500 0.000
0.000 0.000 0.500
0.500 0.500 0.500
0.000 0.000 0.281
0.000 0.000 0.719
0.000 0.500 0.000
0.000 0.500 0.500
0.500 0.000 0.000
0.500 0.000 0.500
0.500 0.500 0.229
0.500 0.500 0.771
```